Entry 1:
Diffraction record for LiAgC2O4. The powder diffractogram is simulated, not measured: it uses a GGA-PBE-relaxed structure and a wavelength of 1.5418 Å.
Lines closer than 0.1° are merged.

a b c (Å): 3.792 5.328 10.240
angles (deg): 90.00 93.57 90.00
Space group Pc (No. 7)
One atom of each set of equivalent atoms:
Li (0.000, 0.192, 0.000) x2
Ag (0.569, 0.345, 0.296) x2
C (0.040, 0.164, 0.703) x2
C (0.840, 0.287, 0.581) x2
O (0.053, 0.282, 0.811) x2
O (0.177, 0.047, 0.180) x2
O (0.748, 0.484, 0.084) x2
O (0.789, 0.143, 0.483) x2

Main lines, low angle first (10° ≤ 2θ ≤ 90°):
hkl	d (Å)	I_rel
0 1 0	5.328	26.2
0 0 2	5.110	85.6
0 1 1	4.725	87.5
1 0 0	3.785	32.7
1 0 -2	3.136	35.1
1 1 0	3.086	41.3
1 1 -1	2.996	100.0
1 1 1	2.913	42.9
0 2 1	2.581	54.6
1 2 1	2.115	27.9

Entry 2:
Diffraction record for LiAgC2O4. The powder diffractogram is simulated, not measured: it uses a GGA-PBE-relaxed structure and a wavelength of 1.5418 Å.
Lines closer than 0.1° are merged.

a b c (Å): 3.700 5.530 10.029
angles (deg): 93.29 91.02 92.57
Space group P-1 (No. 2)
One atom of each set of equivalent atoms:
Li (0.032, 0.078, 0.360) x2
Ag (0.378, 0.607, 0.162) x2
C (0.087, 0.937, 0.936) x2
C (0.108, 0.563, 0.445) x2
O (0.051, 0.037, 0.826) x2
O (0.158, 0.790, 0.457) x2
O (0.219, 0.422, 0.351) x2
O (0.253, 0.744, 0.952) x2

Main lines, low angle first (10° ≤ 2θ ≤ 90°):
hkl	d (Å)	I_rel
0 1 0	5.516	55.1
0 1 -1	4.954	33.0
0 1 2	3.603	25.3
1 0 1	3.444	46.3
0 0 3	3.337	34.3
1 1 0	3.007	100.0
1 1 1	2.842	24.2
-1 1 2	2.639	29.7
0 2 2	2.358	21.6
0 1 -4	2.331	25.1